Record 1
Simulated X-ray diffraction stick pattern of TmAu2 for Cu Kα (weighted mean of Kα1 and Kα2), from a DFT-relaxed cell (GGA-PBE, the Materials Project).

```
TmAu2
1.0
3.7100 0.0000 0.0000
0.0000 3.7100 0.0000
0.0000 0.0000 9.0143
Tm Au
2 4
Cartesian
0.0000 0.0000 0.0000
1.8550 1.8550 4.5071
0.0000 0.0000 3.0277
0.0000 0.0000 5.9866
1.8550 1.8550 1.4794
1.8550 1.8550 7.5348
```

Main lines, in order of rising 2θ (15 to 90 degrees two-theta):
2θ = 34.18°, intensity 69; 2θ = 38.56°, intensity 100; 2θ = 49.11°, intensity 25; 2θ = 61.75°, intensity 6; 2θ = 64.11°, intensity 46; 2θ = 71.99°, intensity 8; 2θ = 72.50°, intensity 16; 2θ = 82.16°, intensity 12; 2θ = 82.65°, intensity 12; 2θ = 84.77°, intensity 11

=====

Record 2
Simulated X-ray diffraction stick pattern of Cu3Te2O10 for Cu Kα (weighted mean of Kα1 and Kα2), from a DFT-relaxed cell (GGA-PBE, the Materials Project).

```
Cu3Te2O10
1.0
5.2073 0.0000 0.0000
-1.4420 5.3150 0.0000
-1.0158 -2.8290 7.1729
Cu Te O
3 2 10
Cartesian
0.0000 0.0000 0.0000
0.5807 3.0029 0.6891
2.1689 -0.5169 6.4838
-0.4102 -0.8614 4.9837
3.1598 3.3474 2.1892
-1.3148 0.5224 6.0598
-1.2458 2.8664 3.8981
-0.5556 4.4906 1.4758
0.3592 -1.5074 6.7708
1.2399 0.0371 4.8799
1.5097 2.4489 2.2930
2.3904 3.9935 0.4021
3.3052 -2.0046 5.6971
3.9954 -0.3804 3.2748
4.0644 1.9636 1.1131
```

Main lines, in order of rising 2θ (15 to 90 degrees two-theta):
2θ = 17.66°, intensity 100; 2θ = 18.15°, intensity 42; 2θ = 21.04°, intensity 31; 2θ = 25.35°, intensity 22; 2θ = 30.87°, intensity 15; 2θ = 35.96°, intensity 16; 2θ = 40.29°, intensity 34; 2θ = 41.26°, intensity 30; 2θ = 44.85°, intensity 25; 2θ = 61.08°, intensity 17

=====

Record 3
Simulated X-ray diffraction stick pattern of Na4LaTaSi3O12 for Cu Kα (weighted mean of Kα1 and Kα2), from a DFT-relaxed cell (GGA-PBE, the Materials Project).

```
Na4LaTaSi3O12
1.0
4.7649 2.7510 7.4196
-4.7649 2.7510 7.4196
0.0000 -5.5020 7.4196
Na La Ta Si O
8 2 2 6 24
Cartesian
0.0000 0.0000 0.0000
-1.3194 -2.6431 9.2471
-3.1356 -0.2868 12.9569
-1.6292 2.4642 9.2471
0.0000 0.0000 11.1293
1.8162 -2.5721 12.9569
2.9487 0.1789 9.2471
1.3194 2.8589 12.9569
0.0000 0.0000 7.6926
0.0000 0.0000 18.8219
0.0000 0.0000 3.3774
0.0000 0.0000 14.5068
-3.4374 -0.1679 9.3783
-1.3275 -2.9189 13.0880
1.8641 -2.8929 9.3783
-1.8641 2.6091 13.0880
1.5732 3.0608 9.3783
3.1916 0.3098 13.0880
-1.0648 -1.3250 4.4516
-4.3466 1.2445 9.4452
-3.5832 -0.9220 10.7800
-0.9931 -1.9379 7.0703
-2.9039 -2.6109 12.9212
-1.8610 0.1401 9.2115
-0.6151 1.5847 4.4516
1.0955 -4.3866 9.4452
-1.1817 1.8290 7.0703
1.6799 -0.2597 4.4516
0.8092 -1.6817 9.2115
-0.4182 -1.5065 13.1550
-1.6799 -0.2597 15.5809
-1.0955 1.1154 13.1550
2.1748 0.1089 7.0703
2.5900 -2.6421 10.7800
1.0518 1.5416 9.2115
-0.8092 3.8203 12.9212
1.0648 -1.3250 15.5809
1.5137 0.3910 13.1550
0.9931 3.5641 10.7800
0.6151 1.5847 15.5809
3.7130 -1.2093 12.9212
3.2511 3.1420 9.4452
```

Main lines, in order of rising 2θ (15 to 90 degrees two-theta):
2θ = 18.62°, intensity 87; 2θ = 19.24°, intensity 72; 2θ = 26.90°, intensity 30; 2θ = 30.54°, intensity 100; 2θ = 32.55°, intensity 62; 2θ = 32.92°, intensity 22; 2θ = 45.23°, intensity 38; 2θ = 50.36°, intensity 21; 2θ = 50.69°, intensity 21; 2θ = 56.83°, intensity 34

=====

Record 4
Simulated X-ray diffraction stick pattern of Pr4Er11S22 for Cu Kα (weighted mean of Kα1 and Kα2), from a DFT-relaxed cell (GGA-PBE, the Materials Project).

```
Pr4Er11S22
1.0
19.5881 -1.9741 0.0000
19.5881 1.9741 0.0000
-0.2811 0.0000 11.3595
Pr Er S
4 11 22
Cartesian
4.0767 0.0000 0.1429
14.2865 0.0000 3.9510
24.6087 0.0000 7.4084
34.8184 0.0000 11.2166
0.0000 0.0000 0.0000
2.6153 0.0000 4.0882
7.6488 0.0000 10.7030
10.2478 0.0000 3.9987
13.2148 0.0000 7.9296
18.0156 0.0000 3.0838
20.8796 0.0000 8.2756
25.6803 0.0000 3.4299
28.6473 0.0000 7.3607
31.2464 0.0000 0.6564
36.2798 0.0000 7.2712
0.2375 0.0000 2.7118
3.2068 0.0000 8.5476
5.1366 0.0000 5.1499
6.5536 0.0000 1.7222
7.2030 0.0000 7.8635
9.9662 0.0000 1.3545
10.8034 0.0000 6.7027
13.7087 0.0000 1.0432
15.7272 0.0000 8.9462
17.3249 0.0000 5.6281
17.7471 0.0000 0.3576
21.1481 0.0000 11.0019
21.5703 0.0000 5.7314
23.1679 0.0000 2.4133
25.1864 0.0000 10.3162
28.0917 0.0000 4.6567
28.9289 0.0000 10.0050
31.6922 0.0000 3.4960
32.3415 0.0000 9.6372
33.7586 0.0000 6.2096
35.6883 0.0000 2.8118
38.6577 0.0000 8.6476
```

Main lines, in order of rising 2θ (15 to 90 degrees two-theta):
2θ = 23.50°, intensity 80; 2θ = 24.22°, intensity 100; 2θ = 26.39°, intensity 60; 2θ = 27.34°, intensity 48; 2θ = 27.64°, intensity 60; 2θ = 31.47°, intensity 62; 2θ = 33.90°, intensity 56; 2θ = 42.04°, intensity 55; 2θ = 44.08°, intensity 36; 2θ = 45.97°, intensity 43

=====

Record 5
Simulated X-ray diffraction stick pattern of SrCdPb for Cu Kα (weighted mean of Kα1 and Kα2), from a DFT-relaxed cell (GGA-PBE, the Materials Project).

```
SrCdPb
1.0
12.0855 0.0000 0.0000
0.0000 5.2088 0.0000
-5.4848 0.0000 6.1027
Sr Cd Pb
4 4 4
Cartesian
-1.0872 0.0000 1.7990
1.6452 2.6044 4.3037
4.9556 2.6044 1.7990
7.6879 0.0000 4.3037
1.3082 2.6044 0.6173
-0.7502 0.0000 5.4853
7.3509 0.0000 0.6173
5.2925 2.6044 5.4853
-1.9619 2.6044 4.4356
2.5199 0.0000 1.6671
4.0808 0.0000 4.4356
8.5627 2.6044 1.6671
```

Main lines, in order of rising 2θ (15 to 90 degrees two-theta):
2θ = 19.71°, intensity 25; 2θ = 21.66°, intensity 26; 2θ = 28.29°, intensity 49; 2θ = 29.30°, intensity 54; 2θ = 29.55°, intensity 79; 2θ = 34.13°, intensity 24; 2θ = 34.43°, intensity 85; 2θ = 34.53°, intensity 100; 2θ = 42.17°, intensity 21; 2θ = 45.80°, intensity 20

=====

Record 6
Simulated X-ray diffraction stick pattern of Rb2Ba8MgSb6O2 for Cu Kα (weighted mean of Kα1 and Kα2), from a DFT-relaxed cell (GGA-PBE, the Materials Project).

```
Rb2Ba8MgSb6O2
1.0
9.3721 0.0000 0.0000
-1.2574 9.7834 0.0000
-4.3750 -4.2876 8.1144
Rb Ba Mg Sb O
2 8 1 6 2
Cartesian
0.0000 0.0000 0.0000
-0.3523 0.3997 7.9682
-2.3879 4.0856 5.8562
0.5830 3.7521 2.7403
1.5571 -2.9102 5.7103
2.5352 7.5442 2.0215
2.6516 2.1757 5.8769
6.0512 1.1783 2.0190
5.7720 -1.1089 5.5442
6.9961 6.5134 2.3790
2.6755 0.6744 2.6919
-4.0560 1.5473 7.9742
0.0864 0.2143 3.8886
3.1648 1.3600 0.0011
0.6112 3.9066 7.9266
3.8218 5.2228 4.2006
3.3206 -0.5539 8.0902
-0.9534 5.2848 4.1203
4.3313 -0.0880 3.5028
```

Main lines, in order of rising 2θ (15 to 90 degrees two-theta):
2θ = 24.45°, intensity 55; 2θ = 25.25°, intensity 50; 2θ = 26.59°, intensity 90; 2θ = 26.84°, intensity 67; 2θ = 27.64°, intensity 50; 2θ = 27.78°, intensity 44; 2θ = 27.90°, intensity 100; 2θ = 29.15°, intensity 62; 2θ = 30.23°, intensity 50; 2θ = 31.38°, intensity 42

=====

Record 7
Simulated X-ray diffraction stick pattern of CsBS2 for Cu Kα (weighted mean of Kα1 and Kα2), from a DFT-relaxed cell (GGA-PBE, the Materials Project).

```
CsBS2
1.0
4.7841 0.0000 0.0000
0.0000 6.2746 0.0000
0.0000 0.0000 17.9919
Cs B S
4 4 8
Cartesian
0.0000 0.0000 2.5483
0.0000 0.0000 15.4435
2.3921 3.1373 6.4476
2.3921 3.1373 11.5443
0.0000 0.0000 7.7880
0.0000 0.0000 10.2039
2.3921 3.1373 1.2080
2.3921 3.1373 16.7839
0.0000 0.0000 6.0486
0.0000 0.0000 11.9433
0.0000 1.4242 8.9959
0.0000 4.8504 8.9959
2.3921 1.7131 0.0000
2.3921 3.1373 2.9473
2.3921 3.1373 15.0445
2.3921 4.5615 0.0000
```

Main lines, in order of rising 2θ (15 to 90 degrees two-theta):
2θ = 19.74°, intensity 25; 2θ = 20.49°, intensity 33; 2θ = 23.38°, intensity 100; 2θ = 23.79°, intensity 42; 2θ = 28.45°, intensity 19; 2θ = 30.78°, intensity 55; 2θ = 34.87°, intensity 32; 2θ = 37.60°, intensity 18; 2θ = 38.22°, intensity 19; 2θ = 52.21°, intensity 19

=====

Record 8
Simulated X-ray diffraction stick pattern of DyGaSe3 for Cu Kα (weighted mean of Kα1 and Kα2), from a DFT-relaxed cell (GGA-PBE, the Materials Project).

```
DyGaSe3
1.0
7.9238 0.0000 0.0000
0.0000 3.9347 0.0000
0.0000 0.0000 16.2546
Dy Ga Se
4 4 12
Cartesian
1.8845 0.9837 0.7211
2.0774 2.9510 8.8484
5.8464 0.9837 7.4062
6.0393 2.9510 15.5335
1.9766 2.9510 5.2043
1.9853 0.9837 13.3316
5.9385 2.9510 2.9229
5.9472 0.9837 11.0502
0.0283 2.9510 1.5019
0.8607 0.9837 6.9807
1.8444 2.9510 11.8268
2.1175 0.9837 3.6995
3.1012 2.9510 15.1080
3.9336 0.9837 9.6291
3.9902 2.9510 6.6254
4.8226 0.9837 1.1466
5.8063 2.9510 12.5551
6.0794 0.9837 4.4278
7.0631 2.9510 9.2738
7.8955 0.9837 14.7527
```

Main lines, in order of rising 2θ (15 to 90 degrees two-theta):
2θ = 22.44°, intensity 73; 2θ = 24.62°, intensity 40; 2θ = 25.87°, intensity 100; 2θ = 27.59°, intensity 53; 2θ = 31.54°, intensity 44; 2θ = 35.83°, intensity 91; 2θ = 37.64°, intensity 49; 2θ = 41.55°, intensity 87; 2θ = 42.69°, intensity 87; 2θ = 46.14°, intensity 54

=====

Record 9
Simulated X-ray diffraction stick pattern of P7Pb for Cu Kα (weighted mean of Kα1 and Kα2), from a DFT-relaxed cell (GGA-PBE, the Materials Project).

```
P7Pb
1.0
9.8182 0.0000 0.0000
0.0000 6.9134 0.0000
-6.8265 0.0000 10.6442
P Pb
28 4
Cartesian
-1.7773 0.6751 3.4029
-5.1906 2.7816 8.7250
-3.5117 0.5945 6.2565
-0.0985 2.8622 0.9344
-3.5481 3.9695 9.5938
-0.1349 6.4006 4.2718
1.5894 3.8363 2.0211
-1.8238 6.5338 7.3432
1.5196 0.5006 3.1706
-1.8936 2.9561 8.4927
-0.0970 0.5574 6.2603
3.3162 2.8993 0.9382
-1.8354 0.8344 9.1952
1.5779 2.6223 3.8731
1.4139 4.2911 6.7710
4.8271 6.0790 1.4489
-0.3244 4.0141 9.7060
3.0888 6.3560 4.3839
4.8854 3.9573 2.1515
1.4722 6.4128 7.4736
4.8156 0.3796 3.3010
1.4024 3.0771 8.6231
3.1267 0.5128 6.3724
6.5399 2.9439 1.0503
3.0902 4.0512 9.7098
6.5035 6.3189 4.3877
8.1823 4.1318 1.9192
4.7691 6.2383 7.2412
-4.4825 0.1482 10.0526
-1.0693 3.3085 4.7305
4.0610 3.6049 5.9137
7.4743 6.7652 0.5916
```

Main lines, in order of rising 2θ (15 to 90 degrees two-theta):
2θ = 15.28°, intensity 65; 2θ = 16.67°, intensity 52; 2θ = 18.78°, intensity 68; 2θ = 22.45°, intensity 87; 2θ = 24.29°, intensity 50; 2θ = 25.77°, intensity 100; 2θ = 26.02°, intensity 68; 2θ = 28.27°, intensity 49; 2θ = 34.96°, intensity 49; 2θ = 38.99°, intensity 51